Theoretical powder diffractogram
Compound: Nd8Ir3AuI4
Radiation: Cu Kα (λ = 1.5418 Å)
Structure: a DFT-relaxed cell (PBE, Alexandria)
No peak broadening, texture or thermal motion is included.

Main lines, sorted by position (2θ = 5–70°):
2θ/deg, I (rel.)
10.9, 28
28.3, 100
35.5, 15
38.4, 29
42.4, 38
48.0, 9
51.8, 19
69.1, 15

Atomic structure:
Lattice parameters (Å, degrees): 9.4836 9.4836 9.4836 53.40 53.40 53.40
Element x y z (fractional)
Nd 0.2138 0.7363 0.7363
Nd 0.2285 0.2285 0.2285
Nd 0.2637 0.2637 0.7862
Nd 0.2637 0.7862 0.2637
Nd 0.7363 0.2138 0.7363
Nd 0.7363 0.7363 0.2138
Nd 0.7715 0.7715 0.7715
Nd 0.7862 0.2637 0.2637
Ir 0.0000 0.0000 0.5000
Ir 0.0000 0.5000 0.0000
Ir 0.5000 0.0000 0.0000
Au 0.5000 0.5000 0.5000
I 0.0000 0.0000 0.0000
I 0.0000 0.5000 0.5000
I 0.5000 0.0000 0.5000
I 0.5000 0.5000 0.0000